PaV3O7: computed X-ray diffraction stick pattern (Cu Kα (weighted mean of Kα1 and Kα2)), based on a cell relaxed with GGA+U.
No peak broadening, texture or thermal motion is included.

Principal peaks in the range 10 to 90 degrees two-theta, sorted by position:
h k l	two_theta	intensity
0 1 0	14.92	838
1 0 0	15.54	1000
1 1 0	17.68	681
1 -1 0	24.94	326
1 1 2	29.62	970
0 2 0	30.10	842
1 1 -2	30.80	814
2 0 0	31.37	858
1 -1 2	34.96	360
0 0 4	49.80	329

Structural model:
Cell: 6.041 6.288 7.330 Å, 88.38 87.89 70.82°
Space group P1 (No. 1)
Unique sites:
1 Pa 0.000 0.000 0.000 (multiplicity 1)
2 Pa 0.002 0.074 0.497 (multiplicity 1)
3 V 0.002 0.531 0.762 (multiplicity 1)
4 V 0.472 0.530 0.031 (multiplicity 1)
5 V 0.486 0.101 0.749 (multiplicity 1)
6 V 0.507 0.983 0.229 (multiplicity 1)
7 V 0.518 0.532 0.477 (multiplicity 1)
8 V 0.998 0.539 0.257 (multiplicity 1)
9 O 0.057 0.211 0.214 (multiplicity 1)
10 O 0.107 0.618 0.002 (multiplicity 1)
11 O 0.131 0.181 0.765 (multiplicity 1)
12 O 0.336 0.461 0.287 (multiplicity 1)
13 O 0.340 0.465 0.709 (multiplicity 1)
14 O 0.372 0.885 0.496 (multiplicity 1)
15 O 0.374 0.881 0.985 (multiplicity 1)
16 O 0.608 0.168 0.000 (multiplicity 1)
17 O 0.631 0.181 0.513 (multiplicity 1)
18 O 0.652 0.623 0.229 (multiplicity 1)
19 O 0.752 0.509 0.874 (multiplicity 1)
20 O 0.886 0.877 0.733 (multiplicity 1)
21 O 0.888 0.466 0.519 (multiplicity 1)
22 O 0.928 0.872 0.284 (multiplicity 1)